Entry 1:
Structure and calculated powder X-ray diffraction pattern of MgMn4O6 (the GGA+U geometry in the Materials Project; copper Kα).
Kinematic intensities with the Lorentz-polarization factor, no thermal factor.

Most intense lines, 2θ = 5–70°, by angle:
- 19.8 deg, intensity 28
- 33.5 deg, intensity 100
- 34.0 deg, intensity 34
- 35.5 deg, intensity 49
- 48.4 deg, intensity 14
- 49.2 deg, intensity 20
- 50.5 deg, intensity 17
- 59.8 deg, intensity 28

Structural model:
a = 5.3536 Å, b = 5.3539 Å, c = 5.8457 Å
α = 89.98°, β = 65.47°, γ = 60.15°
Fractional coordinates of all 11 atoms:
Mg  0.0000  0.0000  0.0000
Mn  0.1853  0.4050  0.2222
Mn  0.4596  0.7643  0.3135
Mn  0.5600  0.2128  0.6655
Mn  0.8352  0.5801  0.7524
O  0.0083  0.6293  0.9883
O  0.0100  0.7816  0.4863
O  0.3389  0.1887  0.4550
O  0.3623  0.0192  0.9911
O  0.6558  0.3727  0.9827
O  0.6914  0.5077  0.5143

---

Entry 2:
Structure and calculated powder X-ray diffraction pattern of Mn2VPO7 (the GGA+U geometry in the Materials Project; copper Kα).
Kinematic intensities with the Lorentz-polarization factor, no thermal factor.

Most intense lines, 2θ = 5–70°, by angle:
- 17.0 deg, intensity 10
- 27.7 deg, intensity 100
- 29.7 deg, intensity 35
- 33.5 deg, intensity 12
- 34.3 deg, intensity 15
- 43.1 deg, intensity 14
- 47.0 deg, intensity 11
- 54.1 deg, intensity 15

Structural model:
a = 5.5242 Å, b = 5.5242 Å, c = 4.8504 Å
α = 97.76°, β = 97.76°, γ = 105.84°
Fractional coordinates of all 11 atoms:
Mn  0.1905  0.8095  0.0000
Mn  0.8095  0.1905  0.0000
V  0.7277  0.7277  0.4047
P  0.2704  0.2704  0.5948
O  0.0914  0.0914  0.3249
O  0.1245  0.4144  0.7745
O  0.4144  0.1245  0.7745
O  0.4701  0.4701  0.4739
O  0.5700  0.8987  0.2101
O  0.8758  0.8758  0.7476
O  0.8987  0.5700  0.2101

---

Entry 3:
Structure and calculated powder X-ray diffraction pattern of SrLa4Cr5O15 (the GGA+U geometry in the Materials Project; copper Kα).
Kinematic intensities with the Lorentz-polarization factor, no thermal factor.

Most intense lines, 2θ = 5–70°, by angle:
- 32.3 deg, intensity 100
- 32.4 deg, intensity 49
- 39.8 deg, intensity 31
- 46.1 deg, intensity 17
- 46.4 deg, intensity 17
- 46.5 deg, intensity 17
- 57.5 deg, intensity 19
- 57.7 deg, intensity 28

Structural model:
a = 5.5555 Å, b = 6.7870 Å, c = 8.7334 Å
α = 75.16°, β = 71.56°, γ = 89.72°
Fractional coordinates of all 25 atoms:
Sr  0.0000  0.0000  0.0000
La  0.2050  0.7945  0.5911
La  0.3991  0.5875  0.1976
La  0.5991  0.4059  0.8003
La  0.8049  0.2048  0.3948
Cr  0.0014  0.5010  0.9960
Cr  0.2014  0.2959  0.5989
Cr  0.4016  0.0974  0.1974
Cr  0.6019  0.9011  0.7973
Cr  0.8017  0.7009  0.3971
O  0.0029  0.4996  0.4989
O  0.1001  0.9007  0.3080
O  0.1046  0.4054  0.7938
O  0.2053  0.3063  0.0984
O  0.3054  0.2084  0.3922
O  0.3135  0.6938  0.8954
O  0.4153  0.0929  0.6903
O  0.5017  0.4978  0.4998
O  0.5049  0.9982  0.9906
O  0.5919  0.9006  0.3084
O  0.6931  0.3087  0.0958
O  0.6966  0.7920  0.6066
O  0.7924  0.6982  0.8935
O  0.8988  0.5927  0.2015
O  0.8996  0.0952  0.6879

---

Entry 4:
Structure and calculated powder X-ray diffraction pattern of PuNiO3 (the GGA+U geometry in the Materials Project; copper Kα).
Kinematic intensities with the Lorentz-polarization factor, no thermal factor.

Most intense lines, 2θ = 5–70°, by angle:
- 23.6 deg, intensity 33
- 33.6 deg, intensity 100
- 41.4 deg, intensity 22
- 48.2 deg, intensity 27
- 54.3 deg, intensity 17
- 60.0 deg, intensity 39

Structural model:
a = 3.7774 Å, b = 3.7774 Å, c = 3.7774 Å
α = 90.00°, β = 90.00°, γ = 90.00°
Fractional coordinates of all 5 atoms:
Pu  0.0000  0.0000  0.0000
Ni  0.5000  0.5000  0.5000
O  0.0000  0.5000  0.5000
O  0.5000  0.0000  0.5000
O  0.5000  0.5000  0.0000